Entry 1:
AcGdDyTl: computed powder X-ray diffraction pattern (CuKα), based on a crystal structure in Alexandria, relaxed with GGA-PBE.
Kinematic intensities with the Lorentz-polarization factor, no thermal factor.

The 10 most intense peaks (2θ = 10–90°), in order of falling intensity:
2θ/deg	I_rel
31.7	100
56.4	40
45.4	19
75.2	17
66.2	12
83.9	4
22.3	2
51.1	1
39.1	1
70.8	1

Structure:
Lattice parameters (Å, degrees): 7.989 7.989 7.989 90.00 90.00 90.00
Fractional positions:
Ac 0.000 0.000 0.000
Ac 0.000 0.500 0.500
Ac 0.500 0.000 0.500
Ac 0.500 0.500 0.000
Gd 0.250 0.250 0.750
Gd 0.250 0.750 0.250
Gd 0.750 0.250 0.250
Gd 0.750 0.750 0.750
Dy 0.250 0.250 0.250
Dy 0.250 0.750 0.750
Dy 0.750 0.250 0.750
Dy 0.750 0.750 0.250
Tl 0.000 0.000 0.500
Tl 0.000 0.500 0.000
Tl 0.500 0.000 0.000
Tl 0.500 0.500 0.500

***

Entry 2:
SrFe2S4: computed powder X-ray diffraction pattern (CuKα), based on a crystal structure in Alexandria, relaxed with GGA-PBE.
Kinematic intensities with the Lorentz-polarization factor, no thermal factor.

The 10 most intense peaks (2θ = 10–90°), in order of falling intensity:
2θ/deg	I_rel
31.5	100
41.7	83
23.7	64
33.7	63
20.5	62
16.7	37
60.3	33
48.5	33
54.6	31
51.6	19

Structure:
Lattice parameters (Å, degrees): 7.521 7.521 5.304 90.00 90.00 90.00
Fractional positions:
Sr 0.000 0.000 0.000
Sr 0.500 0.500 0.500
Fe 0.000 0.500 0.000
Fe 0.000 0.500 0.500
Fe 0.500 0.000 0.000
Fe 0.500 0.000 0.500
S 0.159 0.341 0.750
S 0.159 0.659 0.250
S 0.341 0.159 0.250
S 0.341 0.841 0.750
S 0.659 0.159 0.750
S 0.659 0.841 0.250
S 0.841 0.341 0.250
S 0.841 0.659 0.750

***

Entry 3:
Dy12Ge5S28: computed powder X-ray diffraction pattern (CuKα), based on a crystal structure in Alexandria, relaxed with GGA-PBE.
Kinematic intensities with the Lorentz-polarization factor, no thermal factor.

The 10 most intense peaks (2θ = 10–90°), in order of falling intensity:
2θ/deg	I_rel
25.9	100
36.7	39
21.0	30
37.3	28
41.4	22
38.3	20
23.7	19
18.4	17
51.8	17
30.5	16

Structure:
Lattice parameters (Å, degrees): 9.790 11.403 11.421 61.91 64.63 64.60
Fractional positions:
Dy 0.000 0.000 0.000
Dy 0.002 0.468 0.514
Dy 0.073 0.704 0.712
Dy 0.084 0.192 0.228
Dy 0.353 0.654 0.212
Dy 0.355 0.174 0.671
Dy 0.435 0.894 0.387
Dy 0.446 0.350 0.915
Dy 0.563 0.232 0.270
Dy 0.585 0.741 0.745
Dy 0.853 0.610 0.167
Dy 0.867 0.134 0.631
Ge 0.220 0.643 0.991
Ge 0.550 0.511 0.465
Ge 0.554 0.001 0.953
Ge 0.884 0.430 0.873
Ge 0.885 0.928 0.369
S 0.062 0.164 0.728
S 0.066 0.654 0.229
S 0.117 0.956 0.523
S 0.120 0.454 0.027
S 0.122 0.438 0.721
S 0.124 0.935 0.217
S 0.314 0.152 0.943
S 0.316 0.671 0.460
S 0.317 0.825 0.947
S 0.318 0.370 0.426
S 0.356 0.635 0.763
S 0.381 0.158 0.206
S 0.466 0.482 0.056
S 0.475 0.982 0.547
S 0.549 0.321 0.650
S 0.554 0.816 0.145
S 0.637 0.470 0.266
S 0.646 0.968 0.751
S 0.689 0.643 0.432
S 0.711 0.121 0.912
S 0.735 0.461 0.750
S 0.743 0.965 0.239
S 0.791 0.631 0.909
S 0.793 0.126 0.410
S 0.878 0.247 0.067
S 0.892 0.734 0.553
S 0.953 0.341 0.396
S 0.985 0.804 0.928

***

Entry 4:
Nd3TeAs2: computed powder X-ray diffraction pattern (CuKα), based on a crystal structure in Alexandria, relaxed with GGA-PBE.
Kinematic intensities with the Lorentz-polarization factor, no thermal factor.

The 10 most intense peaks (2θ = 10–90°), in order of falling intensity:
2θ/deg	I_rel
34.2	100
12.4	27
30.7	24
39.7	19
30.5	16
24.9	12
15.1	10
56.9	10
47.2	9
21.5	8

Structure:
Lattice parameters (Å, degrees): 8.325 8.325 8.325 124.94 91.21 113.96
Fractional positions:
Nd 0.000 0.229 0.229
Nd 0.000 0.771 0.771
Nd 0.500 0.000 0.000
Nd 0.500 0.229 0.729
Nd 0.500 0.500 0.500
Nd 0.500 0.771 0.271
Te 0.194 0.944 0.250
Te 0.806 0.056 0.750
As 0.266 0.713 0.553
As 0.340 0.287 0.053
As 0.660 0.713 0.947
As 0.734 0.287 0.447

***

Entry 5:
PaCdAsN: computed powder X-ray diffraction pattern (CuKα), based on a crystal structure in Alexandria, relaxed with GGA-PBE.
Kinematic intensities with the Lorentz-polarization factor, no thermal factor.

The 10 most intense peaks (2θ = 10–90°), in order of falling intensity:
2θ/deg	I_rel
31.4	100
27.8	97
45.7	76
38.2	61
28.8	45
55.7	26
30.2	24
36.3	22
51.1	21
56.5	19

Structure:
Lattice parameters (Å, degrees): 12.074 12.074 12.074 18.93 18.93 18.93
Fractional positions:
Pa 0.127 0.127 0.127
Pa 0.873 0.873 0.873
Cd 0.303 0.303 0.303
Cd 0.697 0.697 0.697
As 0.408 0.408 0.408
As 0.592 0.592 0.592
N 0.190 0.190 0.190
N 0.810 0.810 0.810

***

Entry 6:
NbAg3O4: computed powder X-ray diffraction pattern (CuKα), based on a crystal structure in Alexandria, relaxed with GGA-PBE.
Kinematic intensities with the Lorentz-polarization factor, no thermal factor.

The 10 most intense peaks (2θ = 10–90°), in order of falling intensity:
2θ/deg	I_rel
31.9	100
31.5	55
26.4	47
13.1	29
40.1	28
58.0	24
41.5	21
29.1	19
56.3	18
42.3	15

Structure:
Lattice parameters (Å, degrees): 7.356 6.744 5.686 90.00 90.00 90.00
Fractional positions:
Nb 0.000 0.215 0.000
Nb 0.500 0.785 0.500
Ag 0.000 0.679 0.575
Ag 0.195 0.687 0.058
Ag 0.305 0.313 0.558
Ag 0.500 0.321 0.075
Ag 0.695 0.313 0.558
Ag 0.805 0.687 0.058
O 0.000 0.235 0.675
O 0.000 0.948 0.083
O 0.213 0.343 0.119
O 0.287 0.657 0.619
O 0.500 0.052 0.583
O 0.500 0.765 0.175
O 0.713 0.657 0.619
O 0.787 0.343 0.119

***

Entry 7:
Ho2Be4ZnPt3: computed powder X-ray diffraction pattern (CuKα), based on a crystal structure in Alexandria, relaxed with GGA-PBE.
Kinematic intensities with the Lorentz-polarization factor, no thermal factor.

The 10 most intense peaks (2θ = 10–90°), in order of falling intensity:
2θ/deg	I_rel
35.8	100
37.1	92
33.3	88
45.9	67
29.1	66
59.5	47
27.5	39
52.4	37
32.0	36
72.1	28

Structure:
Lattice parameters (Å, degrees): 3.956 3.956 9.733 90.00 90.00 90.00
Fractional positions:
Ho 0.000 0.500 0.247
Ho 0.500 0.000 0.753
Be 0.000 0.000 0.000
Be 0.000 0.500 0.633
Be 0.500 0.000 0.367
Be 0.500 0.500 0.000
Zn 0.000 0.000 0.500
Pt 0.000 0.500 0.873
Pt 0.500 0.000 0.127
Pt 0.500 0.500 0.500

***

Entry 8:
La3Sm12Al: computed powder X-ray diffraction pattern (CuKα), based on a crystal structure in Alexandria, relaxed with GGA-PBE.
Kinematic intensities with the Lorentz-polarization factor, no thermal factor.

The 10 most intense peaks (2θ = 10–90°), in order of falling intensity:
2θ/deg	I_rel
30.4	100
35.5	34
60.6	29
50.5	22
34.8	16
51.0	12
59.7	11
63.2	11
82.3	9
83.1	6

Structure:
Lattice parameters (Å, degrees): 5.062 5.062 20.635 90.00 90.00 90.00
Fractional positions:
La 0.000 0.000 0.000
La 0.000 0.000 0.255
La 0.000 0.000 0.745
Sm 0.000 0.500 0.128
Sm 0.000 0.500 0.386
Sm 0.000 0.500 0.614
Sm 0.000 0.500 0.872
Sm 0.500 0.000 0.128
Sm 0.500 0.000 0.386
Sm 0.500 0.000 0.614
Sm 0.500 0.000 0.872
Sm 0.500 0.500 0.000
Sm 0.500 0.500 0.259
Sm 0.500 0.500 0.500
Sm 0.500 0.500 0.741
Al 0.000 0.000 0.500

***

Entry 9:
Pr3Nd4Tl4: computed powder X-ray diffraction pattern (CuKα), based on a crystal structure in Alexandria, relaxed with GGA-PBE.
Kinematic intensities with the Lorentz-polarization factor, no thermal factor.

The 10 most intense peaks (2θ = 10–90°), in order of falling intensity:
2θ/deg	I_rel
30.2	100
31.1	97
30.9	75
33.1	64
32.8	53
37.7	46
44.3	38
56.6	36
57.9	32
60.5	30

Structure:
Lattice parameters (Å, degrees): 11.078 11.078 11.078 160.16 128.25 55.96
Fractional positions:
Pr 0.000 0.000 0.000
Pr 0.404 0.904 0.500
Pr 0.596 0.096 0.500
Nd 0.018 0.336 0.681
Nd 0.345 0.664 0.681
Nd 0.655 0.336 0.319
Nd 0.982 0.664 0.319
Tl 0.270 0.270 0.000
Tl 0.279 0.500 0.779
Tl 0.721 0.500 0.221
Tl 0.730 0.730 0.000